(1)
For YLu, a DFT-relaxed cell (PBE, Alexandria) gives the computed powder diffractogram in this record (Cu Kα).
Neutral-atom scattering factors, no anomalous dispersion.

Main lines, by angle (10 to 90 degrees two-theta):
- d 6.511, 2θ 13.60, I = 26.2
- d 3.378, 2θ 26.39, I = 32.9
- d 2.870, 2θ 31.16, I = 73.8
- d 2.794, 2θ 32.04, I = 100.0
- d 2.722, 2θ 32.91, I = 81.0
- d 2.435, 2θ 36.91, I = 52.6
- d 2.119, 2θ 42.67, I = 18.8
- d 1.925, 2θ 47.22, I = 22.3
- d 1.585, 2θ 58.22, I = 18.1
- d 1.482, 2θ 62.68, I = 28.9
- d 1.406, 2θ 66.50, I = 15.3
- d 1.174, 2θ 82.07, I = 15.1

Atomic structure:
Lattice parameters (Å, degrees): 3.4974 13.0217 5.4420 90.00 90.00 90.00
Space group Cmcm (No. 63)
One atom of each set of equivalent atoms:
Y (0.0000, 0.1700, 0.2500) [4 per cell]
Lu (0.0000, 0.4343, 0.2500) [4 per cell]

(2)
For YLu3, a DFT-relaxed cell (PBE, Alexandria) gives the computed powder diffractogram in this record (Cu Kα).
Neutral-atom scattering factors, no anomalous dispersion.

Main lines, by angle (10 to 90 degrees two-theta):
- d 4.938, 2θ 17.96, I = 1.7
- d 4.414, 2θ 20.12, I = 5.1
- d 2.850, 2θ 31.39, I = 100.0
- d 2.738, 2θ 32.70, I = 1.6
- d 2.468, 2θ 36.41, I = 50.5
- d 2.154, 2θ 41.95, I = 1.7
- d 1.745, 2θ 52.44, I = 35.7
- d 1.488, 2θ 62.40, I = 42.3
- d 1.425, 2θ 65.52, I = 12.2
- d 1.234, 2θ 77.33, I = 5.7
- d 1.132, 2θ 85.82, I = 17.8
- d 1.104, 2θ 88.62, I = 16.7

Atomic structure:
Lattice parameters (Å, degrees): 4.9344 4.9344 9.8753 90.00 90.00 90.00
Space group I4/mmm (No. 139)
One atom of each set of equivalent atoms:
Y (0.0000, 0.0000, 0.0000) [2 per cell]
Lu (0.0000, 0.0000, 0.5000) [2 per cell]
Lu (0.0000, 0.5000, 0.2500) [4 per cell]

(3)
For Yb3Lu, a DFT-relaxed cell (PBE, Alexandria) gives the computed powder diffractogram in this record (Cu Kα).
Neutral-atom scattering factors, no anomalous dispersion.

Main lines, by angle (10 to 90 degrees two-theta):
- d 3.120, 2θ 28.61, I = 23.1
- d 2.952, 2θ 30.28, I = 26.7
- d 2.759, 2θ 32.46, I = 100.0
- d 2.144, 2θ 42.14, I = 16.4
- d 1.801, 2θ 50.67, I = 19.2
- d 1.664, 2θ 55.19, I = 22.5
- d 1.538, 2θ 60.18, I = 23.0
- d 1.508, 2θ 61.48, I = 16.2
- d 1.223, 2θ 78.19, I = 8.1
- d 1.156, 2θ 83.61, I = 13.8
- d 1.142, 2θ 84.95, I = 8.9
- d 1.104, 2θ 88.56, I = 6.2

Atomic structure:
Lattice parameters (Å, degrees): 7.2059 7.2059 5.9032 90.00 90.00 120.00
Space group P6_3/mmc (No. 194)
One atom of each set of equivalent atoms:
Yb (0.1693, 0.3387, 0.2500) [6 per cell]
Lu (0.3333, 0.6667, 0.7500) [2 per cell]

(4)
For Lu2Zn17, a DFT-relaxed cell (PBE, Alexandria) gives the computed powder diffractogram in this record (Cu Kα).
Neutral-atom scattering factors, no anomalous dispersion.

Main lines, by angle (10 to 90 degrees two-theta):
- d 3.122, 2θ 28.59, I = 30.3
- d 2.573, 2θ 34.87, I = 40.9
- d 2.500, 2θ 35.93, I = 23.4
- d 2.228, 2θ 40.49, I = 57.1
- d 2.218, 2θ 40.68, I = 100.0
- d 2.187, 2θ 41.27, I = 31.2
- d 2.170, 2θ 41.61, I = 20.1
- d 1.985, 2θ 45.70, I = 22.8
- d 1.561, 2θ 59.19, I = 15.8
- d 1.407, 2θ 66.47, I = 17.1
- d 1.287, 2θ 73.63, I = 23.3
- d 1.269, 2θ 74.84, I = 20.0

Atomic structure:
Lattice parameters (Å, degrees): 8.9123 8.9123 13.1241 90.00 90.00 120.00
Space group R-3m (No. 166, hexagonal axes)
One atom of each set of equivalent atoms:
Lu (0.0000, 0.0000, 0.1651) [6 per cell]
Zn (0.0000, 0.0000, 0.3998) [6 per cell]
Zn (0.0000, 0.2997, 0.5000) [18 per cell]
Zn (0.0000, 0.5000, 0.0000) [9 per cell]
Zn (0.0108, 0.5054, 0.6518) [18 per cell]

(5)
For LuZn6, a DFT-relaxed cell (PBE, Alexandria) gives the computed powder diffractogram in this record (Cu Kα).
Neutral-atom scattering factors, no anomalous dispersion.

Main lines, by angle (10 to 90 degrees two-theta):
- d 4.771, 2θ 18.60, I = 1.5
- d 3.373, 2θ 26.42, I = 42.7
- d 2.754, 2θ 32.51, I = 100.0
- d 1.948, 2θ 46.63, I = 7.7
- d 1.803, 2θ 50.62, I = 56.9
- d 1.687, 2θ 54.39, I = 20.4
- d 1.509, 2θ 61.46, I = 15.6
- d 1.438, 2θ 64.82, I = 13.3
- d 1.232, 2θ 77.49, I = 15.7
- d 1.193, 2θ 80.54, I = 12.4
- d 1.124, 2θ 86.56, I = 7.5
- d 1.094, 2θ 89.56, I = 16.8

Atomic structure:
Lattice parameters (Å, degrees): 6.7469 6.7469 6.7469 90.00 90.00 90.00
Space group Im-3m (No. 229)
One atom of each set of equivalent atoms:
Lu (0.0000, 0.0000, 0.0000) [2 per cell]
Zn (0.0000, 0.2500, 0.5000) [12 per cell]

(6)
For LuZr3, a DFT-relaxed cell (PBE, Alexandria) gives the computed powder diffractogram in this record (Cu Kα).
Neutral-atom scattering factors, no anomalous dispersion.

Main lines, by angle (10 to 90 degrees two-theta):
- d 2.869, 2θ 31.17, I = 12.2
- d 2.854, 2θ 31.34, I = 27.8
- d 2.598, 2θ 34.53, I = 37.4
- d 2.512, 2θ 35.75, I = 53.1
- d 2.502, 2θ 35.90, I = 100.0
- d 1.921, 2θ 47.32, I = 17.5
- d 1.654, 2θ 55.57, I = 18.6
- d 1.645, 2θ 55.90, I = 9.2
- d 1.481, 2θ 62.72, I = 29.4
- d 1.395, 2θ 67.10, I = 20.8
- d 1.390, 2θ 67.38, I = 10.4
- d 1.376, 2θ 68.14, I = 15.7

Atomic structure:
Lattice parameters (Å, degrees): 3.2898 5.1957 5.7386 90.00 90.00 90.00
Space group Pmm2 (No. 25)
One atom of each set of equivalent atoms:
Lu (0.0000, 0.0000, 0.0000) [1 per cell]
Zr (0.0000, 0.5000, 0.6643) [1 per cell]
Zr (0.5000, 0.0000, 0.5014) [1 per cell]
Zr (0.5000, 0.5000, 0.1799) [1 per cell]

(7)
For Mg2Mn, a DFT-relaxed cell (PBE, Alexandria) gives the computed powder diffractogram in this record (Cu Kα).
Neutral-atom scattering factors, no anomalous dispersion.

Main lines, by angle (10 to 90 degrees two-theta):
- d 4.451, 2θ 19.95, I = 12.2
- d 3.887, 2θ 22.88, I = 12.8
- d 2.821, 2θ 31.71, I = 5.4
- d 2.448, 2θ 36.71, I = 100.0
- d 2.160, 2θ 41.81, I = 17.1
- d 2.146, 2θ 42.10, I = 6.4
- d 2.101, 2θ 43.05, I = 31.1
- d 1.506, 2θ 61.58, I = 19.9
- d 1.487, 2θ 62.44, I = 4.8
- d 1.296, 2θ 73.01, I = 11.5
- d 1.271, 2θ 74.69, I = 10.7
- d 1.269, 2θ 74.81, I = 10.5

Atomic structure:
Lattice parameters (Å, degrees): 2.9747 4.3206 8.9026 90.00 90.00 90.00
Space group Immm (No. 71)
One atom of each set of equivalent atoms:
Mg (0.0000, 0.0000, 0.1610) [4 per cell]
Mn (0.0000, 0.0000, 0.5000) [2 per cell]

(8)
For Mg7Mn, a DFT-relaxed cell (PBE, Alexandria) gives the computed powder diffractogram in this record (Cu Kα).
Neutral-atom scattering factors, no anomalous dispersion.

Main lines, by angle (10 to 90 degrees two-theta):
- d 5.426, 2θ 16.34, I = 11.4
- d 3.687, 2θ 24.14, I = 6.0
- d 2.713, 2θ 33.02, I = 25.3
- d 2.512, 2θ 35.74, I = 25.8
- d 2.387, 2θ 37.68, I = 100.0
- d 1.899, 2θ 47.91, I = 3.0
- d 1.843, 2θ 49.44, I = 15.3
- d 1.566, 2θ 58.97, I = 16.6
- d 1.425, 2θ 65.49, I = 17.9
- d 1.329, 2θ 70.90, I = 18.3
- d 1.310, 2θ 72.13, I = 13.0
- d 1.194, 2θ 80.46, I = 3.2

Atomic structure:
Lattice parameters (Å, degrees): 6.2652 6.2652 5.0250 90.00 90.00 120.00
Space group P-6m2 (No. 187)
One atom of each set of equivalent atoms:
Mg (0.0000, 0.0000, 0.0000) [1 per cell]
Mg (0.0108, 0.5054, 0.0000) [3 per cell]
Mg (0.3344, 0.1672, 0.5000) [3 per cell]
Mn (0.3333, 0.6667, 0.5000) [1 per cell]

(9)
For Mg2Mn, a DFT-relaxed cell (PBE, Alexandria) gives the computed powder diffractogram in this record (Cu Kα).
Neutral-atom scattering factors, no anomalous dispersion.

Main lines, by angle (10 to 90 degrees two-theta):
- d 7.289, 2θ 12.14, I = 51.5
- d 2.620, 2θ 34.22, I = 9.1
- d 2.466, 2θ 36.44, I = 100.0
- d 2.430, 2θ 37.00, I = 28.9
- d 2.127, 2θ 42.49, I = 67.5
- d 1.782, 2θ 51.28, I = 6.7
- d 1.513, 2θ 61.28, I = 18.9
- d 1.496, 2θ 62.04, I = 16.8
- d 1.289, 2θ 73.44, I = 11.0
- d 1.284, 2θ 73.79, I = 19.7
- d 1.274, 2θ 74.48, I = 11.4
- d 1.233, 2θ 77.41, I = 9.9

Atomic structure:
Lattice parameters (Å, degrees): 3.0255 3.0255 7.2888 90.00 90.00 120.00
Space group P-3m1 (No. 164)
One atom of each set of equivalent atoms:
Mg (0.3333, 0.6667, 0.3162) [2 per cell]
Mn (0.0000, 0.0000, 0.0000) [1 per cell]

(10)
For MgMn3, a DFT-relaxed cell (PBE, Alexandria) gives the computed powder diffractogram in this record (Cu Kα).
Neutral-atom scattering factors, no anomalous dispersion.

Main lines, by angle (10 to 90 degrees two-theta):
- d 4.875, 2θ 18.20, I = 15.6
- d 2.437, 2θ 36.88, I = 20.2
- d 2.393, 2θ 37.59, I = 14.9
- d 2.249, 2θ 40.10, I = 37.6
- d 2.143, 2θ 42.17, I = 100.0
- d 2.113, 2θ 42.80, I = 41.2
- d 1.653, 2θ 55.61, I = 11.2
- d 1.639, 2θ 56.12, I = 8.5
- d 1.390, 2θ 67.37, I = 13.6
- d 1.277, 2θ 74.27, I = 16.1
- d 1.182, 2θ 81.39, I = 15.3
- d 1.176, 2θ 81.90, I = 9.9

Atomic structure:
Lattice parameters (Å, degrees): 5.6642 9.5722 4.4977 90.00 90.00 90.00
Space group Cmcm (No. 63)
One atom of each set of equivalent atoms:
Mg (0.0000, 0.0921, 0.2500) [4 per cell]
Mn (0.0000, 0.4151, 0.7500) [4 per cell]
Mn (0.2379, 0.3365, 0.2500) [8 per cell]

(11)
For MgMn3, a DFT-relaxed cell (PBE, Alexandria) gives the computed powder diffractogram in this record (Cu Kα).
Neutral-atom scattering factors, no anomalous dispersion.

Main lines, by angle (10 to 90 degrees two-theta):
- d 5.867, 2θ 15.10, I = 53.3
- d 2.199, 2θ 41.04, I = 97.7
- d 2.150, 2θ 42.03, I = 100.0
- d 2.032, 2θ 44.59, I = 75.7
- d 2.018, 2θ 44.91, I = 12.0
- d 1.686, 2θ 54.44, I = 10.2
- d 1.662, 2θ 55.27, I = 20.9
- d 1.467, 2θ 63.42, I = 8.9
- d 1.409, 2θ 66.34, I = 11.4
- d 1.287, 2θ 73.63, I = 29.7
- d 1.212, 2θ 79.04, I = 17.8
- d 1.186, 2θ 81.05, I = 22.4

Atomic structure:
Lattice parameters (Å, degrees): 2.8180 3.3241 5.8668 90.00 90.00 90.00
Space group Pmmm (No. 47)
One atom of each set of equivalent atoms:
Mg (0.0000, 0.0000, 0.0000) [1 per cell]
Mn (0.0000, 0.0000, 0.5000) [1 per cell]
Mn (0.5000, 0.5000, 0.2823) [2 per cell]

(12)
For Mg7Mn, a DFT-relaxed cell (PBE, Alexandria) gives the computed powder diffractogram in this record (Cu Kα).
Neutral-atom scattering factors, no anomalous dispersion.

Main lines, by angle (10 to 90 degrees two-theta):
- d 5.092, 2θ 17.42, I = 10.0
- d 4.410, 2θ 20.14, I = 5.4
- d 3.118, 2θ 28.63, I = 4.4
- d 2.659, 2θ 33.70, I = 5.6
- d 2.546, 2θ 35.25, I = 100.0
- d 2.205, 2θ 40.93, I = 48.7
- d 2.023, 2θ 44.79, I = 2.4
- d 1.972, 2θ 46.02, I = 2.2
- d 1.559, 2θ 59.27, I = 30.7
- d 1.330, 2θ 70.87, I = 34.5
- d 1.273, 2θ 74.54, I = 9.8
- d 1.103, 2θ 88.73, I = 4.5

Atomic structure:
Lattice parameters (Å, degrees): 8.8200 8.8200 8.8200 90.00 90.00 90.00
Space group Fm-3m (No. 225)
One atom of each set of equivalent atoms:
Mg (0.0000, 0.0000, 0.0000) [4 per cell]
Mg (0.0000, 0.2500, 0.2500) [24 per cell]
Mn (0.0000, 0.0000, 0.5000) [4 per cell]